Starting from a GGA-PBE-relaxed structure, the PXRD pattern of Rb2AgSbF6 was simulated for Cu Kα.
Neutral-atom scattering factors, no anomalous dispersion.

Principal peaks in the range 2θ from 10° to 90°, in order of rising 2θ:
Position (°2θ)	I/Imax
27.1	100.0
38.7	38.5
47.9	41.2
55.9	24.2
63.2	18.6
76.6	21.3

Crystal structure
abc: 6.5830 6.5830 6.5830
angles: 60.00 60.00 60.00
Sites, in units of the cell vectors:
Rb: 0.2500 0.2500 0.2500
Rb: 0.7500 0.7500 0.7500
Ag: 0.0000 0.0000 0.0000
Sb: 0.5000 0.5000 0.5000
F: 0.2639 0.2639 0.7361
F: 0.2639 0.7361 0.2639
F: 0.2639 0.7361 0.7361
F: 0.7361 0.2639 0.2639
F: 0.7361 0.2639 0.7361
F: 0.7361 0.7361 0.2639